# 1
Simulated X-ray diffraction stick pattern
Compound: ZrTlBi
Radiation: Cu Kα X-rays
Structure: a DFT-relaxed cell (GGA-PBE, OQMD)

```
data_ZrTlBi
_chemical_formula_sum 'Zr4 Tl4 Bi4'
_space_group_name_H-M_alt 'P 1'
_space_group_IT_number 1
_cell_length_a 7.178
_cell_length_b 7.178
_cell_length_c 7.178
_cell_angle_alpha 90.00
_cell_angle_beta 90.00
_cell_angle_gamma 90.00
loop_
_space_group_symop_operation_xyz
'x,y,z'
loop_
_atom_site_label
_atom_site_type_symbol
_atom_site_fract_x
_atom_site_fract_y
_atom_site_fract_z
Zr1 Zr 0.000 0.000 0.000
Zr2 Zr 0.000 0.500 0.500
Zr3 Zr 0.500 0.000 0.500
Zr4 Zr 0.500 0.500 0.000
Tl1 Tl 0.250 0.250 0.750
Tl2 Tl 0.250 0.750 0.250
Tl3 Tl 0.750 0.250 0.250
Tl4 Tl 0.750 0.750 0.750
Bi1 Bi 0.000 0.000 0.500
Bi2 Bi 0.000 0.500 0.000
Bi3 Bi 0.500 0.000 0.000
Bi4 Bi 0.500 0.500 0.500
```

Most intense lines, 2θ = 10–90°, low angle first:
Position (°2θ), d (Å), I/Imax, (hkl)
21.44, 4.144, 48, 1 1 1
35.37, 2.538, 100, 2 2 0
41.74, 2.164, 27, 3 1 1
50.89, 1.794, 18, 4 0 0
55.83, 1.647, 12, 3 3 1
63.49, 1.465, 37, 4 2 2
74.83, 1.269, 12, 4 4 0
85.58, 1.135, 17, 6 2 0

---

# 2
Simulated X-ray diffraction stick pattern
Compound: TmBi
Radiation: Cu Kα X-rays
Structure: a DFT-relaxed cell (GGA-PBE, OQMD)

```
data_TmBi
_chemical_formula_sum 'Tm4 Bi4'
_space_group_name_H-M_alt 'P 1'
_space_group_IT_number 1
_cell_length_a 6.221
_cell_length_b 6.221
_cell_length_c 6.221
_cell_angle_alpha 90.00
_cell_angle_beta 90.00
_cell_angle_gamma 90.00
loop_
_space_group_symop_operation_xyz
'x,y,z'
loop_
_atom_site_label
_atom_site_type_symbol
_atom_site_fract_x
_atom_site_fract_y
_atom_site_fract_z
Tm1 Tm 0.000 0.000 0.000
Tm2 Tm 0.000 0.500 0.500
Tm3 Tm 0.500 0.000 0.500
Tm4 Tm 0.500 0.500 0.000
Bi1 Bi 0.000 0.000 0.500
Bi2 Bi 0.000 0.500 0.000
Bi3 Bi 0.500 0.000 0.000
Bi4 Bi 0.500 0.500 0.500
```

Most intense lines, 2θ = 10–90°, low angle first:
Position (°2θ), d (Å), I/Imax, (hkl)
24.79, 3.592, 2, 1 1 1
28.70, 3.111, 100, 2 0 0
41.04, 2.200, 78, 2 2 0
50.84, 1.796, 28, 2 2 2
59.43, 1.555, 13, 4 0 0
67.31, 1.391, 37, 4 2 0
74.76, 1.270, 28, 4 2 2
89.01, 1.100, 9, 4 4 0